Entry 1:
CoSi17Ge13P: simulated powder XRD pattern (CuKα), based on the GGA-PBE geometry in OQMD.
Lines closer than 0.1° are merged.

Structural model:
a b c (Å): 6.8316 10.3047 10.3109
angles (deg): 81.62 71.27 83.63
Space group P1 (No. 1)
One atom of each set of equivalent atoms:
Co 0.0000 0.0000 0.0000 x1
Si 0.0248 0.7605 0.7507 x1
Si 0.0250 0.8793 0.3657 x1
Si 0.0287 0.2604 0.2464 x1
Si 0.0330 0.6401 0.1181 x1
Si 0.1463 0.7166 0.5151 x1
Si 0.1474 0.8507 0.1239 x1
Si 0.1495 0.5892 0.8897 x1
Si 0.1545 0.4641 0.2561 x1
Si 0.1577 0.9536 0.7854 x1
Si 0.5185 0.8271 0.0582 x1
Si 0.5218 0.4480 0.1834 x1
Si 0.5228 0.9396 0.6846 x1
Si 0.5285 0.3201 0.5625 x1
Si 0.6501 0.5204 0.5773 x1
Si 0.6516 0.3961 0.9562 x1
Si 0.6568 0.7779 0.8265 x1
Si 0.6587 0.8946 0.4523 x1
Ge 0.0238 0.5117 0.4939 x1
Ge 0.0263 0.3807 0.8798 x1
Ge 0.0332 0.1219 0.6327 x1
Ge 0.1424 0.1840 0.0194 x1
Ge 0.1474 0.0823 0.3875 x1
Ge 0.1554 0.3351 0.6386 x1
Ge 0.5206 0.6949 0.4386 x1
Ge 0.5264 0.1895 0.9434 x1
Ge 0.5256 0.5709 0.8132 x1
Ge 0.5296 0.0640 0.3074 x1
Ge 0.6516 0.1421 0.7019 x1
Ge 0.6549 0.2760 0.3241 x1
Ge 0.6553 0.6518 0.1954 x1
P 0.6642 0.0131 0.0746 x1

Most intense lines, 10 to 90 degrees two-theta, in order of falling intensity:
2θ = 27.98°, rel. 100.0, hkl 0 1 3
2θ = 27.64°, rel. 49.2, hkl 2 0 0
2θ = 28.08°, rel. 48.4, hkl 1 -2 2
2θ = 46.10°, rel. 46.3, hkl -2 1 3
2θ = 46.67°, rel. 43.4, hkl 1 -1 5
2θ = 55.23°, rel. 25.6, hkl 0 6 2
2θ = 55.02°, rel. 25.4, hkl 3 4 4
2θ = 46.57°, rel. 23.3, hkl 1 4 4
2θ = 46.27°, rel. 23.3, hkl 3 -2 2
2θ = 54.69°, rel. 14.6, hkl -3 3 1

Entry 2:
Co2SiGeP4: simulated powder XRD pattern (CuKα), based on the GGA-PBE geometry in OQMD.
Lines closer than 0.1° are merged.

Structural model:
a b c (Å): 5.1466 5.1466 10.4213
angles (deg): 90.00 90.00 90.00
Space group I-4 (No. 82)
One atom of each set of equivalent atoms:
Co 0.0000 0.0000 0.0000 x2
Co 0.0000 0.5000 0.2500 x2
Si 0.0000 0.0000 0.5000 x2
Ge 0.0000 0.5000 0.7500 x2
P 0.2195 0.2588 0.1212 x8

Most intense lines, 10 to 90 degrees two-theta, in order of falling intensity:
2θ = 29.95°, rel. 100.0, hkl 1 1 2
2θ = 49.81°, rel. 40.0, hkl 2 0 4
2θ = 59.50°, rel. 24.8, hkl 1 3 2
2θ = 50.13°, rel. 19.1, hkl 2 2 0
2θ = 58.92°, rel. 13.2, hkl 1 1 6
2θ = 80.95°, rel. 9.9, hkl 3 1 6
2θ = 19.23°, rel. 6.7, hkl 1 0 1
2θ = 34.87°, rel. 6.1, hkl 2 0 0
2θ = 73.62°, rel. 5.5, hkl 4 0 0
2θ = 81.46°, rel. 4.7, hkl 3 3 2

Entry 3:
CoSi16Ge12P3: simulated powder XRD pattern (CuKα), based on the GGA-PBE geometry in OQMD.
Lines closer than 0.1° are merged.

Structural model:
a b c (Å): 6.7668 10.2540 10.3662
angles (deg): 81.04 71.28 83.27
Space group P1 (No. 1)
One atom of each set of equivalent atoms:
Co 0.0000 0.0000 0.0000 x1
Si 0.0202 0.7636 0.7616 x1
Si 0.0203 0.8808 0.3783 x1
Si 0.0273 0.6450 0.1329 x1
Si 0.0297 0.2605 0.2587 x1
Si 0.1303 0.8583 0.1404 x1
Si 0.1351 0.7167 0.5305 x1
Si 0.1433 0.5928 0.9059 x1
Si 0.1441 0.4660 0.2726 x1
Si 0.5029 0.8304 0.0770 x1
Si 0.5074 0.9423 0.6976 x1
Si 0.5142 0.4448 0.1983 x1
Si 0.5226 0.3195 0.5798 x1
Si 0.6428 0.5236 0.5921 x1
Si 0.6469 0.7832 0.8432 x1
Si 0.6473 0.9026 0.4632 x1
Si 0.6479 0.3956 0.9715 x1
Ge 0.0188 0.5100 0.5092 x1
Ge 0.0242 0.3804 0.8999 x1
Ge 0.0291 0.1204 0.6455 x1
Ge 0.1324 0.1776 0.0407 x1
Ge 0.1474 0.3342 0.6600 x1
Ge 0.1486 0.0823 0.4027 x1
Ge 0.5128 0.6987 0.4496 x1
Ge 0.5183 0.1880 0.9660 x1
Ge 0.5220 0.5729 0.8282 x1
Ge 0.6410 0.1408 0.7244 x1
Ge 0.6478 0.6503 0.2093 x1
Ge 0.6493 0.2711 0.3422 x1
P 0.1460 0.9512 0.7950 x1
P 0.5258 0.0639 0.3180 x1
P 0.6751 0.0081 0.0887 x1

Most intense lines, 10 to 90 degrees two-theta, in order of falling intensity:
2θ = 28.31°, rel. 100.0, hkl 1 -2 2
2θ = 27.79°, rel. 96.1, hkl 0 1 3
2θ = 27.92°, rel. 94.1, hkl 2 0 0
2θ = 28.07°, rel. 91.5, hkl 1 3 1
2θ = 46.39°, rel. 87.4, hkl 3 3 1
2θ = 54.93°, rel. 51.4, hkl 1 1 -5
2θ = 46.19°, rel. 45.4, hkl -2 1 3
2θ = 46.83°, rel. 43.2, hkl 3 -2 2
2θ = 46.60°, rel. 42.3, hkl 1 -1 5
2θ = 47.07°, rel. 39.5, hkl 0 5 -1

Entry 4:
Co2Ge2Pb: simulated powder XRD pattern (CuKα), based on the GGA-PBE geometry in OQMD.
Lines closer than 0.1° are merged.

Structural model:
a b c (Å): 5.6320 3.6773 8.2225
angles (deg): 90.00 90.00 90.00
Space group Pmma (No. 51)
One atom of each set of equivalent atoms:
Co 0.0000 0.0000 0.0000 x2
Co 0.2500 0.0000 0.2697 x2
Ge 0.2500 0.0000 0.7649 x2
Ge 0.2500 0.5000 0.0905 x2
Pb 0.0000 0.5000 0.5000 x2

Most intense lines, 10 to 90 degrees two-theta, in order of falling intensity:
2θ = 41.87°, rel. 100.0, hkl 2 1 1
2θ = 32.67°, rel. 95.5, hkl 0 1 2
2θ = 38.76°, rel. 77.3, hkl 2 0 2
2θ = 26.55°, rel. 62.2, hkl 0 1 1
2θ = 61.26°, rel. 43.3, hkl 2 1 4
2θ = 41.07°, rel. 37.5, hkl 0 1 3
2θ = 33.64°, rel. 35.0, hkl 2 0 1
2θ = 64.65°, rel. 33.6, hkl 2 2 2
2θ = 21.62°, rel. 32.7, hkl 0 0 2
2θ = 49.58°, rel. 31.8, hkl 0 2 0